[1]
Calculated X-ray diffraction stick pattern
Compound: MoS3
Radiation: copper Kα
Structure: a PBE-relaxed structure
Kinematic intensities with the Lorentz-polarization factor, no thermal factor.

Main lines, in order of rising 2θ (2θ from 15° to 90°):
2θ (°)  I_rel
21.80  100
30.97  65
32.92  56
39.47  91
40.41  70
53.90  51

Crystal structure
abc: 3.404 3.087 8.184
angles: 90.00 94.88 90.00
Space group Pm (No. 6)
One atom of each set of equivalent atoms:
Mo1 0.000 0.000 0.000 x1
S1 0.265 0.500 0.595 x1
S2 0.516 0.500 0.107 x1
S3 0.951 0.000 0.730 x1


[2]
Calculated X-ray diffraction stick pattern
Compound: Mo21S8
Radiation: copper Kα
Structure: a PBE-relaxed structure
Kinematic intensities with the Lorentz-polarization factor, no thermal factor.

Main lines, in order of rising 2θ (2θ from 15° to 90°):
2θ (°)  I_rel
34.41  43
38.63  42
39.41  89
40.97  100
41.74  45
70.43  22

Crystal structure
abc: 16.479 16.479 3.174
angles: 90.00 90.00 90.00
Space group I4/m (No. 87)
One atom of each set of equivalent atoms:
Mo1 0.000 0.000 0.000 x2
Mo2 0.022 0.279 0.000 x8
Mo3 0.052 0.423 0.500 x8
Mo4 0.055 0.848 0.500 x8
Mo5 0.115 0.685 0.500 x8
Mo6 0.195 0.197 0.000 x8
S1 0.062 0.134 0.000 x8
S2 0.135 0.287 0.500 x8


[3]
Calculated X-ray diffraction stick pattern
Compound: MoS3
Radiation: copper Kα
Structure: a PBE-relaxed structure
Kinematic intensities with the Lorentz-polarization factor, no thermal factor.

Main lines, in order of rising 2θ (2θ from 15° to 90°):
2θ (°)  I_rel
16.23  100
21.38  32
23.15  93
25.21  72
34.74  35
40.78  32

Crystal structure
abc: 6.107 4.425 8.063
angles: 90.00 106.10 90.00
Space group P2_1/m (No. 11)
One atom of each set of equivalent atoms:
Mo1 0.207 0.250 0.193 x2
S1 0.044 0.750 0.119 x2
S2 0.204 0.250 0.457 x2
S3 0.449 0.750 0.815 x2


[4]
Calculated X-ray diffraction stick pattern
Compound: Mo3S4
Radiation: copper Kα
Structure: a PBE-relaxed structure
Kinematic intensities with the Lorentz-polarization factor, no thermal factor.

Main lines, in order of rising 2θ (2θ from 15° to 90°):
2θ (°)  I_rel
30.51  43
33.69  87
34.51  39
41.29  59
43.80  37
46.30  100

Crystal structure
abc: 9.2889 9.2889 10.9841
angles: 90.00 90.00 120.00
Space group R-3 (No. 148, hexagonal axes)
One atom of each set of equivalent atoms:
Mo1 0.0160 0.1772 0.3893 x18
S1 0.0000 0.0000 0.2210 x6
S2 0.0186 0.3817 0.2486 x18


Copy entry 2 word for word.
Calculated X-ray diffraction stick pattern
Compound: Mo21S8
Radiation: copper Kα
Structure: a PBE-relaxed structure
Kinematic intensities with the Lorentz-polarization factor, no thermal factor.

Main lines, in order of rising 2θ (2θ from 15° to 90°):
2θ (°)  I_rel
34.41  43
38.63  42
39.41  89
40.97  100
41.74  45
70.43  22

Crystal structure
abc: 16.479 16.479 3.174
angles: 90.00 90.00 90.00
Space group I4/m (No. 87)
One atom of each set of equivalent atoms:
Mo1 0.000 0.000 0.000 x2
Mo2 0.022 0.279 0.000 x8
Mo3 0.052 0.423 0.500 x8
Mo4 0.055 0.848 0.500 x8
Mo5 0.115 0.685 0.500 x8
Mo6 0.195 0.197 0.000 x8
S1 0.062 0.134 0.000 x8
S2 0.135 0.287 0.500 x8